The following is a theoretical XRD peak list of Na2PuCrO6. It was derived from a GGA+U-relaxed structure, using λ = 1.5418 Å (Cu Kα).
Kinematic intensities with the Lorentz-polarization factor, no thermal factor.

Atomic structure:
```
data_Na2PuCrO6
_space_group_name_H-M_alt 'P 4/m m m'
_space_group_IT_number 123
_space_group_name_Hall '-P 4 2'
_cell_length_a 5.6274
_cell_length_b 5.6274
_cell_length_c 4.1004
_cell_angle_alpha 90.00
_cell_angle_beta 90.00
_cell_angle_gamma 90.00
loop_
_atom_site_label
_atom_site_type_symbol
_atom_site_fract_x
_atom_site_fract_y
_atom_site_fract_z
_atom_site_occupancy
Na1 Na 0.0000 0.5000 0.0000 1
Pu1 Pu 0.0000 0.0000 0.5000 1
Cr1 Cr 0.5000 0.5000 0.5000 1
O1 O 0.0000 0.0000 0.0000 1
O2 O 0.2491 0.2491 0.5000 1
O3 O 0.5000 0.5000 0.0000 1
```

Largest 8 diffraction maxima, by angle, 10° ≤ 2θ ≤ 80°:
- (1 0 0), 2θ = 15.75°, intensity 86
- (0 0 1), 2θ = 21.67°, intensity 51
- (1 1 0), 2θ = 22.34°, intensity 95
- (1 0 1), 2θ = 26.90°, intensity 51
- (1 1 1), 2θ = 31.32°, intensity 100
- (2 0 0), 2θ = 31.80°, intensity 48
- (2 2 0), 2θ = 45.60°, intensity 35
- (3 1 1), 2θ = 56.36°, intensity 39